The following is a computed powder diffractogram of NdGd2Al7Ag2. It was derived from a structure optimized by DFT (GGA-PBE), using Cu Kα, 1.54184 Å.

```
NdGd2Al7Ag2
1.0
2.8025 1.6180 8.8403
-2.8025 1.6180 8.8403
0.0000 -3.2361 8.8403
Nd Gd Al Ag
1 2 7 2
Cartesian
0.0000 0.0000 0.0000
0.0000 0.0000 3.7659
0.0000 0.0000 22.7551
-1.4352 -0.8286 11.0605
0.0000 -1.6572 15.4605
-1.4352 0.8286 15.4605
0.0000 0.0000 13.2605
1.4352 -0.8286 11.0605
0.0000 1.6572 11.0605
1.4352 0.8286 15.4605
0.0000 0.0000 8.9071
0.0000 0.0000 17.6139
```

Principal peaks in the range 2θ = 10–80°, in order of rising 2θ:
2θ (°)	I (rel.)
20.09	36
22.70	19
29.92	27
31.93	85
32.71	19
38.02	100
60.98	24
62.09	25


The following is a computed powder diffractogram of Tb2GdAl3AgPd2. It was derived from a structure optimized by DFT (GGA-PBE), using Cu Kα, 1.54184 Å.

```
Tb2GdAl3AgPd2
1.0
3.9161 0.0000 0.0000
0.0000 6.4089 3.6983
0.0000 -6.4089 3.6983
Tb Gd Al Ag Pd
2 1 3 1 2
Cartesian
0.0000 -3.7408 3.6983
0.0000 3.7408 3.6983
0.0000 0.0000 2.7784
1.9581 0.0000 0.3280
1.9581 -1.6225 4.9264
1.9581 1.6225 4.9264
0.0000 0.0000 5.8622
1.9581 -2.1446 2.1581
1.9581 2.1446 2.1581
```

Principal peaks in the range 2θ = 10–80°, in order of rising 2θ:
2θ (°)	I (rel.)
24.06	31
27.85	27
33.32	78
36.23	100
37.12	23
42.32	28
43.96	23
56.90	24


The following is a computed powder diffractogram of GdTm2Al7Ag2. It was derived from a structure optimized by DFT (GGA-PBE), using Cu Kα, 1.54184 Å.

```
GdTm2Al7Ag2
1.0
2.7631 1.5953 8.7597
-2.7631 1.5953 8.7597
0.0000 -3.1906 8.7597
Gd Tm Al Ag
1 2 7 2
Cartesian
0.0000 0.0000 0.0000
0.0000 0.0000 3.7437
0.0000 0.0000 22.5355
-1.4141 -0.8165 10.9767
0.0000 -1.6329 15.3025
-1.4141 0.8165 15.3025
0.0000 0.0000 13.1396
1.4141 -0.8164 10.9767
0.0000 1.6329 10.9767
1.4141 0.8165 15.3025
0.0000 0.0000 8.8183
0.0000 0.0000 17.4609
```

Principal peaks in the range 2θ = 10–80°, in order of rising 2θ:
2θ (°)	I (rel.)
18.85	20
20.28	38
22.99	19
30.26	30
32.40	86
33.08	19
38.52	100
61.90	24


The following is a computed powder diffractogram of Li4AlAg2Ge. It was derived from a structure optimized by DFT (GGA-PBE), using Cu Kα, 1.54184 Å.

```
Li4AlAg2Ge
1.0
4.4325 0.0000 0.0000
0.0000 4.4325 0.0000
0.0000 0.0000 6.2647
Li Al Ag Ge
4 1 2 1
Cartesian
0.0000 0.0000 0.0000
0.0000 2.2163 1.5185
2.2163 0.0000 4.7463
2.2163 2.2163 3.1324
0.0000 0.0000 3.1324
0.0000 2.2163 4.6703
2.2163 0.0000 1.5944
2.2163 2.2163 0.0000
```

Principal peaks in the range 2θ = 10–80°, in order of rising 2θ:
2θ (°)	I (rel.)
24.60	100
28.48	14
40.72	86
48.15	47
58.95	14
64.85	18
74.11	27
79.46	14


The following is a computed powder diffractogram of HfAlAg2. It was derived from a structure optimized by DFT (GGA-PBE), using Cu Kα, 1.54184 Å.

```
HfAlAg2
1.0
6.5899 0.0000 0.0000
0.0000 6.5899 0.0000
0.0000 0.0000 6.5899
Hf Al Ag
4 4 8
Cartesian
0.0000 0.0000 0.0000
0.0000 3.2949 3.2949
3.2949 0.0000 3.2949
3.2949 3.2949 0.0000
1.6475 1.6475 4.9424
1.6475 4.9424 1.6475
4.9424 1.6475 1.6475
4.9424 4.9424 4.9424
0.0000 0.0000 3.2949
0.0000 3.2949 0.0000
1.6475 1.6475 1.6475
1.6475 4.9424 4.9424
3.2949 0.0000 0.0000
3.2949 3.2949 3.2949
4.9424 1.6475 4.9424
4.9424 4.9424 1.6475
```

Principal peaks in the range 2θ = 10–80°, in order of rising 2θ:
2θ (°)	I (rel.)
23.38	15
27.06	15
38.64	100
45.66	8
47.81	4
55.80	17
63.09	6
69.93	34


The following is a computed powder diffractogram of HfAlAgPt. It was derived from a structure optimized by DFT (GGA-PBE), using Cu Kα, 1.54184 Å.

```
HfAlAgPt
1.0
6.5020 0.0000 0.0000
0.0000 6.5020 0.0000
0.0000 0.0000 6.5020
Hf Al Ag Pt
4 4 4 4
Cartesian
0.0000 0.0000 0.0000
0.0000 3.2510 3.2510
3.2510 0.0000 3.2510
3.2510 3.2510 0.0000
0.0000 0.0000 3.2510
0.0000 3.2510 0.0000
3.2510 0.0000 0.0000
3.2510 3.2510 3.2510
1.6255 1.6255 1.6255
1.6255 4.8765 4.8765
4.8765 1.6255 4.8765
4.8765 4.8765 1.6255
1.6255 1.6255 4.8765
1.6255 4.8765 1.6255
4.8765 1.6255 1.6255
4.8765 4.8765 4.8765
```

Principal peaks in the range 2θ = 10–80°, in order of rising 2θ:
2θ (°)	I (rel.)
23.70	26
27.43	5
39.19	100
46.31	14
56.62	17
62.24	6
71.02	35
76.06	5


The following is a computed powder diffractogram of Li4Al2AgHg. It was derived from a structure optimized by DFT (GGA-PBE), using Cu Kα, 1.54184 Å.

```
Li4Al2AgHg
1.0
4.4672 0.0000 0.0000
0.0000 4.4672 0.0000
0.0000 0.0000 6.3203
Li Al Ag Hg
4 2 1 1
Cartesian
0.0000 0.0000 0.0000
0.0000 2.2336 4.7186
2.2336 0.0000 1.6017
2.2336 2.2336 3.1602
0.0000 2.2336 1.6514
2.2336 0.0000 4.6689
0.0000 0.0000 3.1602
2.2336 2.2336 0.0000
```

Principal peaks in the range 2θ = 10–80°, in order of rising 2θ:
2θ (°)	I (rel.)
24.40	100
28.25	37
40.38	65
47.74	50
64.26	20
66.14	14
73.41	22
78.69	15


The following is a computed powder diffractogram of Ho3Mg3AlInAg. It was derived from a structure optimized by DFT (GGA-PBE), using Cu Kα, 1.54184 Å.

```
Ho3Mg3AlInAg
1.0
7.5184 0.0000 0.0000
-3.7592 6.5111 0.0000
0.0000 0.0000 4.3887
Ho Mg Al In Ag
3 3 1 1 1
Cartesian
-1.5225 2.7524 0.0000
-0.6143 6.4535 0.0000
2.1369 3.8164 0.0000
-2.8294 4.9493 2.1943
0.8877 1.5862 2.1943
1.9417 6.4868 2.1943
0.0000 4.3408 2.1943
3.7592 2.1704 2.1943
0.0000 0.0000 0.0000
```

Principal peaks in the range 2θ = 10–80°, in order of rising 2θ:
2θ (°)	I (rel.)
20.23	30
23.67	27
27.40	38
31.33	70
34.30	100
36.51	26
41.14	23
54.98	29


The following is a computed powder diffractogram of HoLu2Al7Ag2. It was derived from a structure optimized by DFT (GGA-PBE), using Cu Kα, 1.54184 Å.

```
HoLu2Al7Ag2
1.0
2.7483 1.5867 8.7289
-2.7483 1.5867 8.7289
0.0000 -3.1735 8.7289
Ho Lu Al Ag
1 2 7 2
Cartesian
0.0000 0.0000 0.0000
0.0000 0.0000 3.7348
0.0000 0.0000 22.4519
-1.4065 -0.8120 10.9411
0.0000 -1.6241 15.2456
-1.4065 0.8120 15.2456
0.0000 0.0000 13.0934
1.4065 -0.8120 10.9411
0.0000 1.6241 10.9411
1.4065 0.8120 15.2456
0.0000 0.0000 8.7865
0.0000 0.0000 17.4002
```

Principal peaks in the range 2θ = 10–80°, in order of rising 2θ:
2θ (°)	I (rel.)
18.95	23
20.35	39
23.10	18
30.39	32
32.58	86
33.22	20
38.72	100
62.26	24


The following is a computed powder diffractogram of Ho3Mg3AlAgPd. It was derived from a structure optimized by DFT (GGA-PBE), using Cu Kα, 1.54184 Å.

```
Ho3Mg3AlAgPd
1.0
7.7437 0.0000 0.0000
-3.8719 6.7063 0.0000
0.0000 0.0000 3.9450
Ho Mg Al Ag Pd
3 3 1 1 1
Cartesian
-1.4858 2.8403 0.0000
-0.6692 6.5728 0.0000
2.1550 3.9994 0.0000
1.0130 1.6703 1.9725
5.7907 0.0421 1.9725
4.8119 4.9938 1.9725
3.8719 2.2354 1.9725
0.0000 0.0000 0.0000
0.0000 4.4708 1.9725
```

Principal peaks in the range 2θ = 10–80°, in order of rising 2θ:
2θ (°)	I (rel.)
22.54	28
22.97	36
26.58	41
32.40	76
35.12	100
35.41	29
42.39	33
54.55	28


The following is a computed powder diffractogram of Sm2HoAl7Ag2. It was derived from a structure optimized by DFT (GGA-PBE), using Cu Kα, 1.54184 Å.

```
Sm2HoAl7Ag2
1.0
2.7961 1.6143 8.8202
-2.7961 1.6143 8.8202
0.0000 -3.2287 8.8202
Sm Ho Al Ag
2 1 7 2
Cartesian
0.0000 0.0000 3.7523
0.0000 0.0000 22.7083
0.0000 0.0000 0.0000
-1.4319 -0.8267 11.0190
0.0000 -1.6534 15.4415
-1.4319 0.8267 15.4415
0.0000 0.0000 13.2303
1.4319 -0.8267 11.0190
0.0000 1.6534 11.0190
1.4319 0.8267 15.4416
0.0000 0.0000 8.8892
0.0000 0.0000 17.5713
```

Principal peaks in the range 2θ = 10–80°, in order of rising 2θ:
2θ (°)	I (rel.)
18.63	18
20.14	36
29.99	27
32.01	84
32.79	20
38.11	100
61.13	25
62.25	25


The following is a computed powder diffractogram of Li2Y2AlInAg2. It was derived from a structure optimized by DFT (GGA-PBE), using Cu Kα, 1.54184 Å.

```
Li2Y2AlInAg2
1.0
4.8164 0.0000 0.0000
0.0000 4.8164 0.0000
0.0000 0.0000 6.8177
Li Y Al In Ag
2 2 1 1 2
Cartesian
0.0000 2.4082 1.6512
2.4082 0.0000 5.1665
0.0000 0.0000 3.4089
2.4082 2.4082 0.0000
0.0000 0.0000 0.0000
2.4082 2.4082 3.4089
0.0000 2.4082 5.2105
2.4082 0.0000 1.6072
```

Principal peaks in the range 2θ = 10–80°, in order of rising 2θ:
2θ (°)	I (rel.)
22.60	37
37.33	100
44.08	18
53.82	17
59.10	7
67.32	33
72.02	5
79.59	10